The following is a calculated powder XRD pattern of ZnIn2S4. It was derived from the PBE geometry in the Materials Project, using Cu Kα.
Kinematic intensities with the Lorentz-polarization factor, no thermal factor.

Peak list (10 most intense, 10° ≤ 2θ ≤ 90°, by angle)
hkl  2theta  I (rel.)
0 0 5  15.7  72
1 0 2  27.0  100
0 1 3  27.9  35
1 0 4  29.1  54
1 0 7  34.5  27
1 0 9  39.1  43
1 0 10  41.6  33
1 1 0  46.2  62
1 1 5  49.1  22
0 1 13  49.8  22

```
data_ZnIn2S4
_cell_length_a 3.9291
_cell_length_b 3.9291
_cell_length_c 28.2069
_cell_angle_alpha 90.00
_cell_angle_beta 90.00
_cell_angle_gamma 120.00
_symmetry_space_group_name_H-M 'P -3 m 1'
_symmetry_Int_Tables_number 164
_symmetry_space_group_name_Hall '-P 3 2"'
loop_
_atom_site_label
_atom_site_type_symbol
_atom_site_fract_x
_atom_site_fract_y
_atom_site_fract_z
Zn1 Zn 0.3333 0.6667 0.0364
In1 In 0.0000 0.0000 0.2323
In2 In 0.3333 0.6667 0.6245
S1 S 0.3333 0.6667 0.1896
S2 S 0.3333 0.6667 0.4161
S3 S 0.3333 0.6667 0.7100
S4 S 0.3333 0.6667 0.9446
```


The following is a calculated powder XRD pattern of Nd3Zr. It was derived from the PBE geometry in the Materials Project, using Cu Kα.
Kinematic intensities with the Lorentz-polarization factor, no thermal factor.

Peak list (10 most intense, 10° ≤ 2θ ≤ 90°, by angle)
hkl  2theta  I (rel.)
2 0 0  28.9  23
0 0 2  31.0  26
2 0 1  32.8  100
2 0 2  42.9  16
2 2 0  51.1  19
2 0 3  56.4  21
2 2 2  61.0  22
4 0 1  62.1  16
4 2 1  84.5  13
2 2 4  86.8  8

```
data_Nd3Zr
_cell_length_a 7.1465
_cell_length_b 7.1465
_cell_length_c 5.7648
_cell_angle_alpha 90.00
_cell_angle_beta 90.00
_cell_angle_gamma 120.00
_symmetry_space_group_name_H-M 'P 63/m m c'
_symmetry_Int_Tables_number 194
_symmetry_space_group_name_Hall '-P 6c 2c'
loop_
_atom_site_label
_atom_site_type_symbol
_atom_site_fract_x
_atom_site_fract_y
_atom_site_fract_z
Nd1 Nd 0.1716 0.3432 0.2500
Zr1 Zr 0.3333 0.6667 0.7500
```